The following is a simulated X-ray powder pattern of CsCd6Hg6. It was derived from a DFT-relaxed cell (PBE, Alexandria), using Cu Kα X-rays.

Atomic structure:
a b c (Å): 8.1928 8.1928 8.1928
angles (deg): 135.69 99.21 97.14
Fractional coordinates of all 13 atoms:
Cs1 0.0000 0.0000 0.0000
Cd1 0.0000 0.0000 0.5000
Cd2 0.0000 0.5000 0.0000
Cd3 0.2465 0.5000 0.7465
Cd4 0.5000 0.0000 0.0000
Cd5 0.5000 0.5000 0.5000
Cd6 0.7535 0.5000 0.2535
Hg1 0.1958 0.6958 0.5000
Hg2 0.3468 0.3468 0.0000
Hg3 0.3540 0.0000 0.3540
Hg4 0.6460 0.0000 0.6460
Hg5 0.6532 0.6532 0.0000
Hg6 0.8042 0.3042 0.5000

Peak list (10 most intense, 10° ≤ 2θ ≤ 80°, sorted by position)
| 2θ/deg | intensity |
| --- | --- |
| 28.61 | 62 |
| 28.90 | 34 |
| 33.33 | 100 |
| 33.55 | 80 |
| 33.77 | 31 |
| 37.23 | 38 |
| 37.55 | 71 |
| 37.78 | 60 |
| 59.26 | 30 |
| 60.11 | 28 |

The following is a simulated X-ray powder pattern of Cs2Cd3Hg2. It was derived from a DFT-relaxed cell (PBE, Alexandria), using Cu Kα X-rays.

Atomic structure:
a b c (Å): 6.8108 6.8108 7.8133
angles (deg): 105.95 105.95 49.44
Fractional coordinates of all 7 atoms:
Cs1 0.1473 0.1473 0.2914
Cs2 0.8527 0.8527 0.7086
Cd1 0.4077 0.4077 0.0958
Cd2 0.5000 0.5000 0.5000
Cd3 0.5923 0.5923 0.9042
Hg1 0.1700 0.1700 0.8097
Hg2 0.8300 0.8300 0.1903

Peak list (10 most intense, 10° ≤ 2θ ≤ 80°, sorted by position)
| 2θ/deg | intensity |
| --- | --- |
| 16.10 | 28 |
| 27.57 | 100 |
| 27.69 | 90 |
| 31.42 | 78 |
| 31.80 | 46 |
| 32.08 | 55 |
| 39.88 | 22 |
| 45.51 | 42 |
| 53.63 | 30 |
| 55.00 | 24 |

The following is a simulated X-ray powder pattern of Cs2Cd7Hg. It was derived from a DFT-relaxed cell (PBE, Alexandria), using Cu Kα X-rays.

Atomic structure:
a b c (Å): 5.3145 5.3145 11.8415
angles (deg): 90.00 90.00 90.00
Fractional coordinates of all 10 atoms:
Cs1 0.0000 0.5000 0.2482
Cs2 0.5000 0.0000 0.7518
Cd1 0.0000 0.0000 0.0000
Cd2 0.0000 0.0000 0.5000
Cd3 0.0000 0.5000 0.6213
Cd4 0.0000 0.5000 0.8745
Cd5 0.5000 0.0000 0.1255
Cd6 0.5000 0.0000 0.3787
Cd7 0.5000 0.5000 0.5000
Hg1 0.5000 0.5000 0.0000

Peak list (10 most intense, 10° ≤ 2θ ≤ 80°, sorted by position)
| 2θ/deg | intensity |
| --- | --- |
| 28.14 | 100 |
| 33.73 | 50 |
| 38.72 | 25 |
| 41.76 | 11 |
| 44.50 | 20 |
| 48.45 | 18 |
| 52.36 | 12 |
| 56.96 | 22 |
| 63.67 | 11 |
| 73.19 | 10 |

The following is a simulated X-ray powder pattern of Cs4CdHg. It was derived from a DFT-relaxed cell (PBE, Alexandria), using Cu Kα X-rays.

Atomic structure:
a b c (Å): 11.0078 11.0078 8.7053
angles (deg): 107.83 107.83 111.66
Fractional coordinates of all 12 atoms:
Cs1 0.0554 0.6964 0.9051
Cs2 0.2402 0.3640 0.7292
Cs3 0.3036 0.9446 0.5949
Cs4 0.3640 0.2402 0.2292
Cs5 0.6360 0.7598 0.7708
Cs6 0.6964 0.0554 0.4051
Cs7 0.7598 0.6360 0.2708
Cs8 0.9446 0.3036 0.0949
Cd1 0.3642 0.6358 0.2500
Cd2 0.6358 0.3642 0.7500
Hg1 0.0008 0.9992 0.7500
Hg2 0.9992 0.0008 0.2500

Peak list (10 most intense, 10° ≤ 2θ ≤ 80°, sorted by position)
| 2θ/deg | intensity |
| --- | --- |
| 22.19 | 62 |
| 23.01 | 80 |
| 24.43 | 100 |
| 25.62 | 58 |
| 25.92 | 47 |
| 26.31 | 44 |
| 27.77 | 42 |
| 28.15 | 51 |
| 29.75 | 56 |
| 45.13 | 35 |

The following is a simulated X-ray powder pattern of CsCd7Hg12. It was derived from a DFT-relaxed cell (PBE, Alexandria), using Cu Kα X-rays.

Atomic structure:
a b c (Å): 9.4176 9.4176 9.4176
angles (deg): 109.47 109.47 109.47
Fractional coordinates of all 20 atoms:
Cs1 0.0000 0.0000 0.0000
Cd1 0.0000 0.0000 0.5000
Cd2 0.0000 0.5000 0.0000
Cd3 0.0000 0.5000 0.5000
Cd4 0.5000 0.0000 0.0000
Cd5 0.5000 0.0000 0.5000
Cd6 0.5000 0.5000 0.0000
Cd7 0.5000 0.5000 0.5000
Hg1 0.1142 0.7738 0.3404
Hg2 0.2262 0.3404 0.5666
Hg3 0.2262 0.6596 0.8858
Hg4 0.3404 0.1142 0.7738
Hg5 0.3404 0.5666 0.2262
Hg6 0.4334 0.7738 0.6596
Hg7 0.5666 0.2262 0.3404
Hg8 0.6596 0.4334 0.7738
Hg9 0.6596 0.8858 0.2262
Hg10 0.7738 0.3404 0.1142
Hg11 0.7738 0.6596 0.4334
Hg12 0.8858 0.2262 0.6596

Peak list (10 most intense, 10° ≤ 2θ ≤ 80°, sorted by position)
| 2θ/deg | intensity |
| --- | --- |
| 11.51 | 48 |
| 25.91 | 100 |
| 28.43 | 31 |
| 30.76 | 67 |
| 32.95 | 58 |
| 36.97 | 75 |
| 38.84 | 38 |
| 40.64 | 80 |
| 51.83 | 33 |
| 64.08 | 50 |

The following is a simulated X-ray powder pattern of CsCd3Hg4. It was derived from a DFT-relaxed cell (PBE, Alexandria), using Cu Kα X-rays.

Atomic structure:
a b c (Å): 8.4127 8.4127 8.4127
angles (deg): 90.00 90.00 90.00
Fractional coordinates of all 16 atoms:
Cs1 0.0000 0.0000 0.0000
Cs2 0.5000 0.5000 0.5000
Cd1 0.0000 0.2500 0.5000
Cd2 0.0000 0.7500 0.5000
Cd3 0.2500 0.5000 0.0000
Cd4 0.5000 0.0000 0.2500
Cd5 0.5000 0.0000 0.7500
Cd6 0.7500 0.5000 0.0000
Hg1 0.2500 0.2500 0.2500
Hg2 0.2500 0.2500 0.7500
Hg3 0.2500 0.7500 0.2500
Hg4 0.2500 0.7500 0.7500
Hg5 0.7500 0.2500 0.2500
Hg6 0.7500 0.2500 0.7500
Hg7 0.7500 0.7500 0.2500
Hg8 0.7500 0.7500 0.7500

Peak list (10 most intense, 10° ≤ 2θ ≤ 80°, sorted by position)
| 2θ/deg | intensity |
| --- | --- |
| 21.12 | 53 |
| 23.65 | 29 |
| 25.94 | 27 |
| 30.04 | 100 |
| 37.02 | 60 |
| 43.01 | 46 |
| 48.39 | 26 |
| 53.35 | 41 |
| 62.45 | 31 |
| 74.87 | 23 |

The following is a simulated X-ray powder pattern of Cs4CdHg. It was derived from a DFT-relaxed cell (PBE, Alexandria), using Cu Kα X-rays.

Atomic structure:
a b c (Å): 6.6923 6.6889 9.4464
angles (deg): 90.00 90.04 90.00
Fractional coordinates of all 6 atoms:
Cs1 0.0000 0.0000 0.0000
Cs2 0.9998 0.0000 0.4957
Cs3 0.5002 0.5000 0.9999
Cs4 0.4995 0.5000 0.4958
Cd1 0.9996 0.5000 0.7486
Hg1 0.4998 0.0000 0.2477

Peak list (10 most intense, 10° ≤ 2θ ≤ 80°, sorted by position)
| 2θ/deg | intensity |
| --- | --- |
| 16.23 | 30 |
| 18.77 | 7 |
| 26.66 | 100 |
| 31.37 | 19 |
| 38.06 | 19 |
| 41.63 | 9 |
| 47.08 | 42 |
| 54.92 | 13 |
| 62.04 | 12 |
| 75.17 | 16 |

The following is a simulated X-ray powder pattern of CsCdHg3. It was derived from a DFT-relaxed cell (PBE, Alexandria), using Cu Kα X-rays.

Atomic structure:
a b c (Å): 9.7911 5.6156 12.5377
angles (deg): 90.00 90.00 90.00
Fractional coordinates of all 20 atoms:
Cs1 0.1866 0.2500 0.0063
Cs2 0.3134 0.7500 0.5063
Cs3 0.6866 0.2500 0.4937
Cs4 0.8134 0.7500 0.9937
Cd1 0.0762 0.2500 0.3670
Cd2 0.4238 0.7500 0.8670
Cd3 0.5762 0.2500 0.1330
Cd4 0.9238 0.7500 0.6330
Hg1 0.0659 0.2500 0.6069
Hg2 0.1370 0.7500 0.7963
Hg3 0.1500 0.7500 0.2167
Hg4 0.3500 0.2500 0.7167
Hg5 0.3630 0.2500 0.2963
Hg6 0.4341 0.7500 0.1069
Hg7 0.5659 0.2500 0.8931
Hg8 0.6370 0.7500 0.7037
Hg9 0.6500 0.7500 0.2833
Hg10 0.8500 0.2500 0.7833
Hg11 0.8630 0.2500 0.2037
Hg12 0.9341 0.7500 0.3931

Peak list (10 most intense, 10° ≤ 2θ ≤ 80°, sorted by position)
| 2θ/deg | intensity |
| --- | --- |
| 11.47 | 10 |
| 14.13 | 11 |
| 28.09 | 100 |
| 31.87 | 34 |
| 32.53 | 18 |
| 33.97 | 11 |
| 37.01 | 17 |
| 37.65 | 14 |
| 49.62 | 15 |
| 54.50 | 16 |

The following is a simulated X-ray powder pattern of Cs6CdHg. It was derived from a DFT-relaxed cell (PBE, Alexandria), using Cu Kα X-rays.

Atomic structure:
a b c (Å): 5.1697 11.4112 11.4112
angles (deg): 83.01 90.00 90.00
Fractional coordinates of all 8 atoms:
Cs1 0.0000 0.0000 0.0000
Cs2 0.0000 0.5537 0.8672
Cs3 0.0000 0.8672 0.5537
Cs4 0.5000 0.2606 0.6718
Cs5 0.5000 0.2696 0.2696
Cs6 0.5000 0.6718 0.2606
Cd1 0.0000 0.4973 0.4973
Hg1 0.5000 0.5971 0.5971

Peak list (10 most intense, 10° ≤ 2θ ≤ 80°, sorted by position)
| 2θ/deg | intensity |
| --- | --- |
| 18.87 | 30 |
| 20.79 | 25 |
| 23.30 | 100 |
| 23.56 | 56 |
| 23.96 | 52 |
| 29.29 | 39 |
| 29.58 | 27 |
| 34.73 | 40 |
| 37.97 | 27 |
| 42.36 | 28 |

The following is a simulated X-ray powder pattern of Cs4Cd2Hg. It was derived from a DFT-relaxed cell (PBE, Alexandria), using Cu Kα X-rays.

Atomic structure:
a b c (Å): 8.5601 9.4368 12.0255
angles (deg): 72.00 69.23 63.13
Fractional coordinates of all 14 atoms:
Cs1 0.0004 0.2481 0.2530
Cs2 0.9996 0.7519 0.7470
Cs3 0.0626 0.2428 0.6312
Cs4 0.4392 0.2557 0.8662
Cs5 0.4986 0.2477 0.2534
Cs6 0.5014 0.7523 0.7466
Cs7 0.5608 0.7443 0.1338
Cs8 0.9374 0.7572 0.3688
Cd1 0.0000 0.0000 0.0000
Cd2 0.1551 0.6385 0.0510
Cd3 0.5000 0.5000 0.5000
Cd4 0.8449 0.3615 0.9490
Hg1 0.3426 0.8669 0.4472
Hg2 0.6574 0.1331 0.5528

Peak list (10 most intense, 10° ≤ 2θ ≤ 80°, sorted by position)
| 2θ/deg | intensity |
| --- | --- |
| 20.76 | 40 |
| 24.11 | 81 |
| 24.61 | 55 |
| 25.38 | 100 |
| 25.65 | 42 |
| 26.33 | 86 |
| 29.42 | 48 |
| 29.71 | 56 |
| 40.92 | 44 |
| 47.67 | 40 |

The following is a simulated X-ray powder pattern of Cs2Cd6Hg3. It was derived from a DFT-relaxed cell (PBE, Alexandria), using Cu Kα X-rays.

Atomic structure:
a b c (Å): 9.3071 9.3071 4.7202
angles (deg): 90.00 90.00 120.00
Fractional coordinates of all 11 atoms:
Cs1 0.3333 0.6667 0.0000
Cs2 0.6667 0.3333 0.0000
Cd1 0.0000 0.1874 0.0000
Cd2 0.0000 0.7394 0.5000
Cd3 0.1874 0.0000 0.0000
Cd4 0.2606 0.2606 0.5000
Cd5 0.7394 0.0000 0.5000
Cd6 0.8126 0.8126 0.0000
Hg1 0.0000 0.4020 0.5000
Hg2 0.4020 0.0000 0.5000
Hg3 0.5980 0.5980 0.5000

Peak list (10 most intense, 10° ≤ 2θ ≤ 80°, sorted by position)
| 2θ/deg | intensity |
| --- | --- |
| 19.07 | 23 |
| 26.90 | 83 |
| 29.14 | 25 |
| 29.32 | 36 |
| 33.35 | 22 |
| 35.06 | 100 |
| 38.13 | 30 |
| 40.35 | 34 |
| 48.81 | 17 |
| 56.72 | 25 |

The following is a simulated X-ray powder pattern of CsCd4Hg12. It was derived from a DFT-relaxed cell (PBE, Alexandria), using Cu Kα X-rays.

Atomic structure:
a b c (Å): 8.9404 8.9404 8.9404
angles (deg): 109.47 109.47 109.47
Fractional coordinates of all 17 atoms:
Cs1 0.0000 0.0000 0.0000
Cd1 0.0000 0.0000 0.5000
Cd2 0.0000 0.5000 0.0000
Cd3 0.5000 0.0000 0.0000
Cd4 0.5000 0.5000 0.5000
Hg1 0.1513 0.5043 0.3530
Hg2 0.1513 0.7982 0.6470
Hg3 0.2018 0.3530 0.8487
Hg4 0.3530 0.1513 0.5043
Hg5 0.3530 0.8487 0.2018
Hg6 0.4957 0.6470 0.8487
Hg7 0.5043 0.3530 0.1513
Hg8 0.6470 0.1513 0.7982
Hg9 0.6470 0.8487 0.4957
Hg10 0.7982 0.6470 0.1513
Hg11 0.8487 0.2018 0.3530
Hg12 0.8487 0.4957 0.6470

Peak list (10 most intense, 10° ≤ 2θ ≤ 80°, sorted by position)
| 2θ/deg | intensity |
| --- | --- |
| 27.32 | 100 |
| 32.45 | 32 |
| 39.02 | 23 |
| 42.92 | 18 |
| 44.76 | 43 |
| 53.24 | 10 |
| 60.86 | 15 |
| 62.31 | 9 |
| 69.32 | 13 |
| 79.94 | 17 |

The following is a simulated X-ray powder pattern of CsCd2Hg7. It was derived from a DFT-relaxed cell (PBE, Alexandria), using Cu Kα X-rays.

Atomic structure:
a b c (Å): 11.8364 11.8364 4.9265
angles (deg): 90.00 90.00 150.03
Fractional coordinates of all 10 atoms:
Cs1 0.0000 0.0000 0.0000
Cd1 0.2621 0.7379 0.5000
Cd2 0.7379 0.2621 0.5000
Hg1 0.1299 0.3695 0.5000
Hg2 0.1856 0.8144 0.0000
Hg3 0.3695 0.1299 0.5000
Hg4 0.5000 0.5000 0.5000
Hg5 0.6305 0.8701 0.5000
Hg6 0.8144 0.1856 0.0000
Hg7 0.8701 0.6305 0.5000

Peak list (10 most intense, 10° ≤ 2θ ≤ 80°, sorted by position)
| 2θ/deg | intensity |
| --- | --- |
| 18.01 | 61 |
| 23.51 | 69 |
| 30.41 | 86 |
| 33.21 | 100 |
| 34.50 | 42 |
| 36.34 | 92 |
| 36.48 | 69 |
| 38.03 | 97 |
| 50.15 | 63 |
| 72.71 | 44 |